Entry 1:
This entry pairs a crystal structure of V3CrIr6 with its theoretical powder diffractogram. Radiation: Cu Ka. Structure: a structure optimized by DFT (PBE).

Structure:
```
V3CrIr6
1.0
7.2182 0.0000 0.0000
0.0000 4.3412 0.0000
-3.1348 0.0000 8.8523
V Cr Ir
6 2 12
direct
0.0842 0.2500 0.2367
0.2997 0.2500 0.0327
0.3065 0.7500 0.3696
0.6935 0.2500 0.6304
0.7003 0.7500 0.9673
0.9158 0.7500 0.7633
0.0914 0.7500 0.5634
0.9086 0.2500 0.4366
0.0901 0.2500 0.7253
0.1080 0.7500 0.0721
0.2875 0.2500 0.5268
0.2997 0.7500 0.8667
0.4976 0.2500 0.3315
0.4976 0.2500 0.8313
0.5024 0.7500 0.1687
0.5024 0.7500 0.6685
0.7003 0.2500 0.1333
0.7125 0.7500 0.4732
0.8920 0.2500 0.9279
0.9099 0.7500 0.2747
```

Largest 12 diffraction maxima, by angle, 2θ = 10–90°:
2θ 28.0, rel. 32.2
2θ 32.9, rel. 13.0
2θ 38.1, rel. 10.2
2θ 38.4, rel. 28.2
2θ 41.6, rel. 40.4
2θ 43.6, rel. 56.3
2θ 43.9, rel. 100.0
2θ 57.9, rel. 17.0
2θ 77.3, rel. 10.4
2θ 77.5, rel. 18.5
2θ 83.9, rel. 20.7
2θ 85.8, rel. 15.5

Entry 2:
This entry pairs a crystal structure of SeS2Cl2 with its theoretical powder diffractogram. Radiation: Cu Ka. Structure: a structure optimized by DFT (PBE).

Structure:
```
SeS2Cl2
1.0
5.8057 0.0000 0.0000
0.0535 5.8870 0.0000
2.8662 2.8901 6.9310
Se S Cl
1 2 2
direct
0.0000 0.0000 0.0000
0.3775 0.4271 0.1395
0.5176 0.5648 0.8651
0.0693 0.1460 0.6786
0.7601 0.8351 0.3224
```

Largest 12 diffraction maxima, by angle, 2θ = 10–90°:
2θ 12.8, rel. 59.1
2θ 16.4, rel. 23.8
2θ 21.4, rel. 100.0
2θ 21.6, rel. 99.9
2θ 24.9, rel. 13.9
2θ 25.2, rel. 36.1
2θ 30.4, rel. 41.1
2θ 30.8, rel. 32.1
2θ 35.7, rel. 20.2
2θ 47.9, rel. 12.5
2θ 48.4, rel. 16.0
2θ 48.7, rel. 15.2

Entry 3:
This entry pairs a crystal structure of LiNdB14 with its theoretical powder diffractogram. Radiation: Cu Ka. Structure: a structure optimized by DFT (PBE).

Structure:
```
LiNdB14
1.0
-2.9441 5.2800 4.1636
2.9441 -5.2800 4.1636
2.9441 5.2800 -4.1636
Li Nd B
2 2 28
direct
0.5000 0.0000 0.0000
0.5000 0.5000 0.5000
0.1201 0.3701 0.7500
0.8799 0.6299 0.2500
0.1023 0.0011 0.7848
0.1023 0.3175 0.1012
0.1261 0.2966 0.3285
0.1261 0.7976 0.8294
0.1384 0.9731 0.1653
0.2600 0.1715 0.0885
0.2780 0.6315 0.6465
0.2837 0.6825 0.2848
0.2837 0.9989 0.6012
0.3078 0.9731 0.3347
0.4170 0.8285 0.5885
0.4681 0.2966 0.6706
0.4681 0.7976 0.1715
0.4850 0.6315 0.8535
0.5150 0.3685 0.1465
0.5319 0.2024 0.8285
0.5319 0.7034 0.3294
0.5830 0.1715 0.4115
0.6922 0.0269 0.6653
0.7163 0.0011 0.3988
0.7163 0.3175 0.7152
0.7220 0.3685 0.3535
0.7400 0.8285 0.9115
0.8616 0.0269 0.8347
0.8739 0.2024 0.1706
0.8739 0.7034 0.6715
0.8977 0.6825 0.8988
0.8977 0.9989 0.2152
```

Largest 12 diffraction maxima, by angle, 2θ = 10–90°:
2θ 13.5, rel. 91.4
2θ 16.8, rel. 39.6
2θ 18.5, rel. 30.6
2θ 25.0, rel. 66.3
2θ 27.6, rel. 100.0
2θ 33.4, rel. 36.6
2θ 34.9, rel. 37.1
2θ 36.8, rel. 49.5
2θ 39.8, rel. 34.2
2θ 41.4, rel. 36.4
2θ 50.9, rel. 26.5
2θ 70.2, rel. 20.7

Entry 4:
This entry pairs a crystal structure of HgRuBr6 with its theoretical powder diffractogram. Radiation: Cu Ka. Structure: a structure optimized by DFT (PBE).

Structure:
```
HgRuBr6
1.0
3.5818 -5.8547 0.0000
3.5818 5.8547 0.0000
-2.8335 0.0000 6.5389
Hg Ru Br
1 1 6
direct
0.0000 0.0000 0.0000
0.5000 0.5000 0.5000
0.1213 0.4236 0.2670
0.2919 0.2919 0.6997
0.4236 0.1213 0.2670
0.5764 0.8787 0.7330
0.7081 0.7081 0.3003
0.8787 0.5764 0.7330
```

Largest 12 diffraction maxima, by angle, 2θ = 10–90°:
2θ 15.1, rel. 63.6
2θ 16.7, rel. 100.0
2θ 23.9, rel. 26.6
2θ 29.9, rel. 46.9
2θ 32.4, rel. 93.6
2θ 41.4, rel. 28.0
2θ 44.6, rel. 29.2
2θ 44.7, rel. 28.4
2θ 46.3, rel. 31.9
2θ 46.5, rel. 18.4
2θ 56.3, rel. 13.1
2θ 67.7, rel. 15.0